Theoretical PXRD pattern of Tb2Dy6Y3 for Cu Kα, 1.54184 Å, from a structure optimized by DFT (PBE).
Peak positions follow from Bragg's law for the DFT cell and can differ from measured ones.

Structural model:
Cell lengths 16.870, 16.870, 16.870 Å; angles 163.89, 163.89, 22.86 degrees
Fractional positions:
Tb1 0.046 0.046 0.000
Tb2 0.954 0.954 0.000
Dy1 0.120 0.620 0.500
Dy2 0.194 0.194 0.000
Dy3 0.380 0.880 0.500
Dy4 0.620 0.120 0.500
Dy5 0.806 0.806 0.000
Dy6 0.880 0.380 0.500
Y1 0.298 0.298 0.000
Y2 0.500 0.500 0.000
Y3 0.702 0.702 0.000

Most intense lines, 2θ from 5° to 70°, sorted by position:
d [Å]  two_theta  I (rel.)
8.268  10.7  229
4.681  19.0  205
3.100  28.8  1000
2.901  30.8  178
2.756  32.5  242
2.600  34.5  928
2.364  38.1  621
1.794  50.9  275
1.672  54.9  231
1.482  62.7  199
1.471  63.2  215
1.406  66.5  277



Theoretical PXRD pattern of CsGe2Pt for Cu Kα, 1.54184 Å, from a structure optimized by DFT (PBE).
Peak positions follow from Bragg's law for the DFT cell and can differ from measured ones.

Structural model:
Cell lengths 4.230, 7.203, 7.427 Å; angles 90.00, 90.00, 90.00 degrees
Fractional positions:
Cs1 0.250 0.250 0.109
Cs2 0.750 0.750 0.891
Ge1 0.250 0.053 0.623
Ge2 0.250 0.447 0.623
Ge3 0.750 0.553 0.377
Ge4 0.750 0.947 0.377
Pt1 0.250 0.750 0.435
Pt2 0.750 0.250 0.565

Most intense lines, 2θ from 5° to 70°, sorted by position:
d [Å]  two_theta  I (rel.)
7.427  11.9  964
3.714  24.0  151
3.601  24.7  225
3.301  27.0  887
3.274  27.2  1000
2.573  34.9  526
2.115  42.7  287
2.010  45.1  596
1.838  49.6  528
1.799  50.7  193
1.781  51.3  302
1.371  68.5  158



Theoretical PXRD pattern of DyZnGa4Cu2 for Cu Kα, 1.54184 Å, from a structure optimized by DFT (PBE).
Peak positions follow from Bragg's law for the DFT cell and can differ from measured ones.

Structural model:
Cell lengths 8.926, 8.926, 8.926 Å; angles 27.79, 27.79, 27.79 degrees
Fractional positions:
Dy1 0.000 0.000 0.000
Zn1 0.500 0.500 0.500
Ga1 0.125 0.125 0.125
Ga2 0.397 0.397 0.397
Ga3 0.603 0.603 0.603
Ga4 0.875 0.875 0.875
Cu1 0.243 0.243 0.243
Cu2 0.757 0.757 0.757

Most intense lines, 2θ from 5° to 70°, sorted by position:
d [Å]  two_theta  I (rel.)
3.674  24.2  59
3.567  25.0  148
3.215  27.7  59
3.011  29.7  136
2.612  34.3  112
2.431  37.0  1000
2.143  42.2  947
2.115  42.8  129
1.608  57.3  270
1.516  61.1  62
1.476  63.0  97
1.401  66.7  50



Theoretical PXRD pattern of Li2UTaN4 for Cu Kα, 1.54184 Å, from a structure optimized by DFT (PBE).
Peak positions follow from Bragg's law for the DFT cell and can differ from measured ones.

Structural model:
Cell lengths 7.654, 7.654, 8.164 Å; angles 90.00, 90.00, 154.72 degrees
Fractional positions:
Li1 0.078 0.922 0.572
Li2 0.078 0.922 0.928
Li3 0.922 0.078 0.072
Li4 0.922 0.078 0.428
U1 0.418 0.582 0.750
U2 0.582 0.418 0.250
Ta1 0.263 0.737 0.250
Ta2 0.737 0.263 0.750
N1 0.160 0.840 0.102
N2 0.160 0.840 0.398
N3 0.169 0.831 0.750
N4 0.500 0.500 0.000
N5 0.500 0.500 0.500
N6 0.831 0.169 0.250
N7 0.840 0.160 0.602
N8 0.840 0.160 0.898

Most intense lines, 2θ from 5° to 70°, sorted by position:
d [Å]  two_theta  I (rel.)
5.511  16.1  502
4.082  21.8  716
3.396  26.2  389
3.269  27.3  207
2.631  34.1  1000
2.553  35.2  289
2.490  36.1  155
2.199  41.0  167
2.125  42.5  251
1.945  46.7  402
1.647  55.8  159
1.408  66.4  156



Theoretical PXRD pattern of Tb2Co7B3 for Cu Kα, 1.54184 Å, from a structure optimized by DFT (PBE).
Peak positions follow from Bragg's law for the DFT cell and can differ from measured ones.

Structural model:
Cell lengths 5.031, 5.031, 12.759 Å; angles 90.00, 90.00, 120.00 degrees
Fractional positions:
Tb1 0.000 0.000 0.000
Tb2 0.000 0.000 0.239
Tb3 0.000 0.000 0.500
Tb4 0.000 0.000 0.761
Co1 0.000 0.500 0.116
Co2 0.000 0.500 0.345
Co3 0.000 0.500 0.655
Co4 0.000 0.500 0.884
Co5 0.333 0.667 0.500
Co6 0.500 0.000 0.116
Co7 0.500 0.000 0.345
Co8 0.500 0.000 0.655
Co9 0.500 0.000 0.884
Co10 0.500 0.500 0.116
Co11 0.500 0.500 0.345
Co12 0.500 0.500 0.655
Co13 0.500 0.500 0.884
Co14 0.667 0.333 0.500
B1 0.333 0.667 0.000
B2 0.333 0.667 0.231
B3 0.333 0.667 0.769
B4 0.667 0.333 0.000
B5 0.667 0.333 0.231
B6 0.667 0.333 0.769

Most intense lines, 2θ from 5° to 70°, sorted by position:
d [Å]  two_theta  I (rel.)
4.357  20.4  273
2.574  34.9  1000
2.515  35.7  258
2.202  41.0  90
2.178  41.5  922
2.165  41.7  59
1.975  45.9  811
1.595  57.8  81
1.498  62.0  54
1.463  63.6  346
1.452  64.1  47
1.347  69.8  91



Theoretical PXRD pattern of LaPr3As4 for Cu Kα, 1.54184 Å, from a structure optimized by DFT (PBE).
Peak positions follow from Bragg's law for the DFT cell and can differ from measured ones.

Structural model:
Cell lengths 6.115, 6.115, 6.115 Å; angles 90.00, 90.00, 90.00 degrees
Fractional positions:
La1 0.000 0.000 0.000
Pr1 0.000 0.500 0.500
Pr2 0.500 0.000 0.500
Pr3 0.500 0.500 0.000
As1 0.000 0.000 0.500
As2 0.000 0.500 0.000
As3 0.500 0.000 0.000
As4 0.500 0.500 0.500

Most intense lines, 2θ from 5° to 70°, sorted by position:
d [Å]  two_theta  I (rel.)
3.531  25.2  159
3.058  29.2  1000
2.162  41.8  754
1.844  49.4  79
1.765  51.8  268
1.529  60.6  125
1.403  66.7  32
1.367  68.6  342



Theoretical PXRD pattern of Ni5Ir for Cu Kα, 1.54184 Å, from a structure optimized by DFT (PBE).
Peak positions follow from Bragg's law for the DFT cell and can differ from measured ones.

Structural model:
Cell lengths 5.663, 5.663, 3.606 Å; angles 90.00, 90.00, 142.97 degrees
Fractional positions:
Ni1 0.000 0.000 0.000
Ni2 0.168 0.832 0.500
Ni3 0.330 0.670 0.000
Ni4 0.670 0.330 0.000
Ni5 0.832 0.168 0.500
Ir1 0.500 0.500 0.500

Most intense lines, 2θ from 5° to 70°, sorted by position:
d [Å]  two_theta  I (rel.)
5.370  16.5  145
3.606  24.7  64
3.411  26.1  109
2.994  29.8  84
2.685  33.4  37
2.537  35.4  52
2.478  36.3  102
2.154  42.0  30
2.075  43.6  1000
1.803  50.6  159
1.798  50.8  158
1.790  51.0  155



Theoretical PXRD pattern of Ac2Pm3Dy6 for Cu Kα, 1.54184 Å, from a structure optimized by DFT (PBE).
Peak positions follow from Bragg's law for the DFT cell and can differ from measured ones.

Structural model:
Cell lengths 6.258, 6.258, 12.015 Å; angles 94.98, 94.98, 120.06 degrees
Fractional positions:
Ac1 0.167 0.833 0.000
Ac2 0.833 0.167 0.000
Pm1 0.000 0.000 0.500
Pm2 0.336 0.664 0.500
Pm3 0.664 0.336 0.500
Dy1 0.081 0.414 0.742
Dy2 0.253 0.253 0.258
Dy3 0.414 0.081 0.742
Dy4 0.586 0.919 0.258
Dy5 0.747 0.747 0.742
Dy6 0.919 0.586 0.258

Most intense lines, 2θ from 5° to 70°, sorted by position:
d [Å]  two_theta  I (rel.)
5.354  16.6  38
5.180  17.1  38
4.928  18.0  36
2.953  30.3  1000
2.949  30.3  334
2.557  35.1  676
1.809  50.5  320
1.805  50.6  163
1.543  60.0  236
1.541  60.1  337
1.479  62.8  41
1.475  63.0  125



Theoretical PXRD pattern of Nd2YPaN4 for Cu Kα, 1.54184 Å, from a structure optimized by DFT (PBE).
Peak positions follow from Bragg's law for the DFT cell and can differ from measured ones.

Structural model:
Cell lengths 6.115, 3.572, 6.209 Å; angles 90.00, 109.05, 90.00 degrees
Fractional positions:
Nd1 0.000 0.000 0.000
Nd2 0.500 0.500 0.000
Y1 0.000 0.500 0.500
Pa1 0.500 0.000 0.500
N1 0.257 0.000 0.724
N2 0.269 0.500 0.280
N3 0.731 0.500 0.720
N4 0.743 0.000 0.276

Most intense lines, 2θ from 5° to 70°, sorted by position:
d [Å]  two_theta  I (rel.)
5.780  15.3  157
2.935  30.5  517
2.910  30.7  1000
2.890  30.9  492
2.527  35.5  977
2.509  35.8  477
1.790  51.0  506
1.786  51.1  170
1.770  51.6  330
1.530  60.5  158
1.525  60.7  233
1.455  64.0  170



Theoretical PXRD pattern of YPa6Se8 for Cu Kα, 1.54184 Å, from a structure optimized by DFT (PBE).
Peak positions follow from Bragg's law for the DFT cell and can differ from measured ones.

Structural model:
Cell lengths 8.094, 8.094, 8.094 Å; angles 60.00, 60.00, 60.00 degrees
Fractional positions:
Y1 0.000 0.000 0.000
Pa1 0.000 0.000 0.500
Pa2 0.000 0.500 0.000
Pa3 0.000 0.500 0.500
Pa4 0.500 0.000 0.000
Pa5 0.500 0.000 0.500
Pa6 0.500 0.500 0.000
Se1 0.250 0.250 0.250
Se2 0.258 0.258 0.742
Se3 0.258 0.742 0.258
Se4 0.258 0.742 0.742
Se5 0.742 0.258 0.258
Se6 0.742 0.258 0.742
Se7 0.742 0.742 0.258
Se8 0.750 0.750 0.750

Most intense lines, 2θ from 5° to 70°, sorted by position:
d [Å]  two_theta  I (rel.)
5.723  15.5  153
4.047  22.0  139
3.304  27.0  285
2.862  31.3  1000
2.559  35.1  90
2.336  38.5  70
2.023  44.8  747
1.908  47.7  49
1.726  53.1  149
1.652  55.6  263
1.530  60.5  38
1.431  65.2  123



Theoretical PXRD pattern of PuTlAg2Br6 for Cu Kα, 1.54184 Å, from a structure optimized by DFT (PBE).
Peak positions follow from Bragg's law for the DFT cell and can differ from measured ones.

Structural model:
Cell lengths 7.451, 7.455, 8.050 Å; angles 117.54, 90.17, 119.27 degrees
Fractional positions:
Pu1 0.000 0.000 0.000
Tl1 0.519 0.037 0.554
Ag1 0.329 0.663 0.991
Ag2 0.815 0.628 0.441
Br1 0.073 0.481 0.217
Br2 0.171 0.149 0.734
Br3 0.413 0.152 0.214
Br4 0.584 0.755 0.734
Br5 0.737 0.801 0.213
Br6 0.973 0.558 0.732

Most intense lines, 2θ from 5° to 70°, sorted by position:
d [Å]  two_theta  I (rel.)
5.507  16.1  458
5.455  16.3  923
4.034  22.0  455
4.003  22.2  936
3.726  23.9  710
3.279  27.2  781
2.539  35.4  468
2.522  35.6  569
2.518  35.7  1000
2.509  35.8  746
2.167  41.7  950
2.144  42.2  448



Theoretical PXRD pattern of VCo3Pt3 for Cu Kα, 1.54184 Å, from a structure optimized by DFT (PBE).
Peak positions follow from Bragg's law for the DFT cell and can differ from measured ones.

Structural model:
Cell lengths 7.336, 7.336, 7.336 Å; angles 90.00, 90.00, 90.00 degrees
Fractional positions:
V1 0.031 0.469 0.531
V2 0.469 0.531 0.031
V3 0.531 0.031 0.469
V4 0.969 0.969 0.969
Co1 0.150 0.850 0.350
Co2 0.151 0.651 0.849
Co3 0.167 0.167 0.167
Co4 0.333 0.833 0.667
Co5 0.349 0.349 0.349
Co6 0.350 0.150 0.850
Co7 0.650 0.650 0.650
Co8 0.651 0.849 0.151
Co9 0.667 0.333 0.833
Co10 0.833 0.667 0.333
Co11 0.849 0.151 0.651
Co12 0.850 0.350 0.150
Pt1 0.047 0.322 0.868
Pt2 0.132 0.547 0.178
Pt3 0.178 0.132 0.547
Pt4 0.322 0.868 0.047
Pt5 0.368 0.453 0.678
Pt6 0.453 0.678 0.368
Pt7 0.547 0.178 0.132
Pt8 0.632 0.953 0.822
Pt9 0.678 0.368 0.453
Pt10 0.822 0.632 0.953
Pt11 0.868 0.047 0.322
Pt12 0.953 0.822 0.632

Most intense lines, 2θ from 5° to 70°, sorted by position:
d [Å]  two_theta  I (rel.)
4.235  21.0  511
3.281  27.2  214
2.995  29.8  916
2.445  36.8  282
2.320  38.8  788
2.212  40.8  779
2.118  42.7  326
2.035  44.5  1000
1.961  46.3  740
1.779  51.4  464
1.601  57.6  219
1.362  68.9  229